Computed XRD peak list
Compound: TbThZrN3
Radiation: λ = 1.5418 Å (Cu Kα)
Structure: a cell relaxed with PBE
Peak positions follow from Bragg's law for the DFT cell and can differ from measured ones.

Atomic structure:
```
data_TbThZrN3
_chemical_formula_sum 'Tb2 Th2 Zr2 N6'
_cell_length_a 6.4190
_cell_length_b 3.3602
_cell_length_c 9.9245
_cell_angle_alpha 90.00
_cell_angle_beta 94.05
_cell_angle_gamma 90.00
_space_group_name_H-M_alt 'P 1 21/m 1'
_space_group_IT_number 11
loop_
_space_group_symop_operation_xyz
'x,y,z'
'-x,-y,-z'
'-x,y+1/2,-z'
'x,-y+1/2,z'
loop_
_atom_site_label
_atom_site_type_symbol
_atom_site_fract_x
_atom_site_fract_y
_atom_site_fract_z
Tb1 Tb 0.1771 0.2500 0.1077
Th1 Th 0.3014 0.7500 0.7566
Zr1 Zr 0.3287 0.7500 0.4167
N1 N 0.1043 0.2500 0.8742
N2 N 0.3176 0.2500 0.5586
N3 N 0.4076 0.7500 0.1977
```

Principal peaks in the range 5 to 70 degrees two-theta, sorted by position:
- 2θ 17.01, I = 79, hkl 1 0 1
- 2θ 27.87, I = 77, hkl 2 0 0
- 2θ 28.04, I = 85, hkl 0 1 1
- 2θ 29.57, I = 89, hkl 1 0 -3
- 2θ 31.36, I = 92, hkl 1 0 3
- 2θ 32.20, I = 100, hkl 2 0 -2